For PaP2O6, a structure optimized by DFT (PBE) gives the theoretical powder X-ray diffraction pattern in this record (Cu Kα X-rays).
Peak positions follow from Bragg's law for the DFT cell and can differ from measured ones.

Cell lengths 7.0232, 7.0232, 7.0232 Å; angles 47.95, 47.95, 47.95 degrees
Atoms (fractional coordinates):
1 Pa 0.0000 0.0000 0.0000
2 P 0.6091 0.6091 0.6091
3 P 0.7241 0.7241 0.7241
4 O 0.2852 0.7411 0.7411
5 O 0.4400 0.8960 0.8960
6 O 0.7411 0.2852 0.7411
7 O 0.7411 0.7411 0.2852
8 O 0.8960 0.4400 0.8960
9 O 0.8960 0.8960 0.4400

Most intense lines, 10 to 90 degrees two-theta, by angle:
| 2theta | d_spacing | Rel. int. |
| --- | --- | --- |
| 14.3 | 6.202 | 915 |
| 18.6 | 4.777 | 1000 |
| 20.3 | 4.365 | 777 |
| 26.3 | 3.387 | 439 |
| 30.1 | 2.973 | 351 |
| 31.3 | 2.854 | 386 |
| 34.6 | 2.592 | 573 |
| 43.0 | 2.102 | 415 |



For Ac3La6Nd2, a structure optimized by DFT (PBE) gives the theoretical powder X-ray diffraction pattern in this record (Cu Kα X-rays).
Peak positions follow from Bragg's law for the DFT cell and can differ from measured ones.

Cell lengths 6.5921, 8.4539, 8.5079 Å; angles 107.49, 105.08, 97.18 degrees
Atoms (fractional coordinates):
1 Ac 0.0000 0.0000 0.0000
2 Ac 0.0962 0.8133 0.3657
3 Ac 0.9038 0.1867 0.6343
4 La 0.1872 0.6365 0.7307
5 La 0.3614 0.2798 0.4532
6 La 0.4531 0.0936 0.8215
7 La 0.5469 0.9064 0.1785
8 La 0.6386 0.7202 0.5468
9 La 0.8128 0.3635 0.2693
10 Nd 0.2772 0.4570 0.0902
11 Nd 0.7228 0.5430 0.9098

Most intense lines, 10 to 90 degrees two-theta, by angle:
| 2theta | d_spacing | Rel. int. |
| --- | --- | --- |
| 28.8 | 3.100 | 1000 |
| 33.3 | 2.691 | 343 |
| 33.5 | 2.673 | 167 |
| 47.9 | 1.899 | 186 |
| 48.0 | 1.894 | 125 |
| 56.7 | 1.623 | 227 |
| 57.0 | 1.615 | 109 |
| 59.6 | 1.551 | 97 |



For Li4Mg2Zn, a structure optimized by DFT (PBE) gives the theoretical powder X-ray diffraction pattern in this record (Cu Kα X-rays).
Peak positions follow from Bragg's law for the DFT cell and can differ from measured ones.

Cell lengths 5.9624, 5.8552, 5.6059 Å; angles 62.65, 60.72, 56.63 degrees
Atoms (fractional coordinates):
1 Li 0.1927 0.8073 0.1927
2 Li 0.3295 0.7147 0.6705
3 Li 0.7147 0.3295 0.2853
4 Li 0.8073 0.1927 0.8073
5 Mg 0.2599 0.2599 0.2401
6 Mg 0.7599 0.7599 0.7401
7 Zn 0.2569 0.2569 0.7431

Most intense lines, 10 to 90 degrees two-theta, by angle:
| 2theta | d_spacing | Rel. int. |
| --- | --- | --- |
| 18.8 | 4.720 | 1000 |
| 20.3 | 4.382 | 440 |
| 32.0 | 2.801 | 309 |
| 34.6 | 2.590 | 229 |
| 36.8 | 2.445 | 192 |
| 37.9 | 2.373 | 179 |
| 38.1 | 2.360 | 625 |
| 53.1 | 1.726 | 140 |



For Tb4NiPd, a structure optimized by DFT (PBE) gives the theoretical powder X-ray diffraction pattern in this record (Cu Kα X-rays).
Peak positions follow from Bragg's law for the DFT cell and can differ from measured ones.

Cell lengths 6.8688, 6.8688, 6.3414 Å; angles 90.00, 90.00, 90.00 degrees
Atoms (fractional coordinates):
1 Tb 0.1736 0.3129 0.0000
2 Tb 0.1736 0.6871 0.5000
3 Tb 0.3129 0.1736 0.5000
4 Tb 0.3129 0.8264 0.0000
5 Tb 0.6871 0.1736 0.0000
6 Tb 0.6871 0.8264 0.5000
7 Tb 0.8264 0.3129 0.5000
8 Tb 0.8264 0.6871 0.0000
9 Ni 0.0000 0.0000 0.2500
10 Ni 0.0000 0.0000 0.7500
11 Pd 0.5000 0.5000 0.2500
12 Pd 0.5000 0.5000 0.7500

Most intense lines, 10 to 90 degrees two-theta, by angle:
| 2theta | d_spacing | Rel. int. |
| --- | --- | --- |
| 28.1 | 3.171 | 195 |
| 32.4 | 2.765 | 1000 |
| 33.8 | 2.655 | 192 |
| 38.6 | 2.330 | 538 |
| 41.6 | 2.172 | 243 |
| 52.6 | 1.741 | 256 |
| 57.2 | 1.611 | 319 |
| 64.6 | 1.442 | 201 |



For YHoRh, a structure optimized by DFT (PBE) gives the theoretical powder X-ray diffraction pattern in this record (Cu Kα X-rays).
Peak positions follow from Bragg's law for the DFT cell and can differ from measured ones.

Cell lengths 14.4210, 3.8207, 8.0640 Å; angles 90.00, 90.00, 90.00 degrees
Atoms (fractional coordinates):
1 Y 0.0421 0.0000 0.1908
2 Y 0.2500 0.0000 0.8449
3 Y 0.4579 0.0000 0.1908
4 Y 0.5421 0.0000 0.8092
5 Y 0.7500 0.0000 0.1551
6 Y 0.9579 0.0000 0.8092
7 Ho 0.1180 0.5000 0.5599
8 Ho 0.2500 0.5000 0.1970
9 Ho 0.3820 0.5000 0.5599
10 Ho 0.6180 0.5000 0.4401
11 Ho 0.7500 0.5000 0.8030
12 Ho 0.8820 0.5000 0.4401
13 Rh 0.1009 0.5000 0.9278
14 Rh 0.2500 0.0000 0.4571
15 Rh 0.3991 0.5000 0.9278
16 Rh 0.6009 0.5000 0.0722
17 Rh 0.7500 0.0000 0.5429
18 Rh 0.8991 0.5000 0.0722

Most intense lines, 10 to 90 degrees two-theta, by angle:
| 2theta | d_spacing | Rel. int. |
| --- | --- | --- |
| 31.9 | 2.804 | 1000 |
| 32.9 | 2.720 | 447 |
| 33.3 | 2.688 | 669 |
| 34.2 | 2.622 | 623 |
| 34.7 | 2.588 | 410 |
| 37.4 | 2.403 | 481 |
| 41.1 | 2.198 | 428 |
| 41.6 | 2.173 | 378 |



For CeNd2Hg2, a structure optimized by DFT (PBE) gives the theoretical powder X-ray diffraction pattern in this record (Cu Kα X-rays).
Peak positions follow from Bragg's law for the DFT cell and can differ from measured ones.

Cell lengths 7.9623, 7.9623, 7.9623 Å; angles 113.60, 82.76, 136.53 degrees
Atoms (fractional coordinates):
1 Ce 0.2500 0.2500 0.0000
2 Ce 0.7500 0.7500 0.0000
3 Nd 0.1974 0.6449 0.8423
4 Nd 0.3026 0.1449 0.4475
5 Nd 0.6974 0.8551 0.5525
6 Nd 0.8026 0.3551 0.1577
7 Hg 0.0688 0.3252 0.3940
8 Hg 0.4312 0.8252 0.2564
9 Hg 0.5688 0.1748 0.7436
10 Hg 0.9312 0.6748 0.6060

Most intense lines, 10 to 90 degrees two-theta, by angle:
| 2theta | d_spacing | Rel. int. |
| --- | --- | --- |
| 30.3 | 2.948 | 340 |
| 31.7 | 2.824 | 687 |
| 32.9 | 2.720 | 477 |
| 34.1 | 2.632 | 721 |
| 35.2 | 2.548 | 1000 |
| 36.8 | 2.442 | 268 |
| 50.2 | 1.818 | 272 |
| 57.1 | 1.614 | 252 |



For Li4Mg2Hg3, a structure optimized by DFT (PBE) gives the theoretical powder X-ray diffraction pattern in this record (Cu Kα X-rays).
Peak positions follow from Bragg's law for the DFT cell and can differ from measured ones.

Cell lengths 8.4562, 8.4562, 5.0581 Å; angles 96.90, 96.90, 72.99 degrees
Atoms (fractional coordinates):
1 Li 0.0686 0.8248 0.9742
2 Li 0.1378 0.4026 0.1503
3 Li 0.1752 0.9314 0.5258
4 Li 0.4026 0.1378 0.6503
5 Li 0.5974 0.8622 0.3497
6 Li 0.8248 0.0686 0.4742
7 Li 0.8622 0.5974 0.8497
8 Li 0.9314 0.1752 0.0258
9 Mg 0.2620 0.5081 0.6975
10 Mg 0.4919 0.7380 0.8025
11 Mg 0.5081 0.2620 0.1975
12 Mg 0.7380 0.4919 0.3025
13 Hg 0.0476 0.2804 0.5910
14 Hg 0.2804 0.0476 0.0910
15 Hg 0.3604 0.6396 0.2500
16 Hg 0.6396 0.3604 0.7500
17 Hg 0.7196 0.9524 0.9090
18 Hg 0.9524 0.7196 0.4090

Most intense lines, 10 to 90 degrees two-theta, by angle:
| 2theta | d_spacing | Rel. int. |
| --- | --- | --- |
| 21.7 | 4.091 | 1000 |
| 27.2 | 3.283 | 584 |
| 33.4 | 2.684 | 337 |
| 35.7 | 2.515 | 196 |
| 36.6 | 2.455 | 197 |
| 38.8 | 2.320 | 330 |
| 40.3 | 2.239 | 217 |
| 44.9 | 2.019 | 213 |



For Pr3TmSn, a structure optimized by DFT (PBE) gives the theoretical powder X-ray diffraction pattern in this record (Cu Kα X-rays).
Peak positions follow from Bragg's law for the DFT cell and can differ from measured ones.

Cell lengths 7.9469, 7.9469, 7.9469 Å; angles 87.43, 115.61, 127.77 degrees
Atoms (fractional coordinates):
1 Pr 0.2450 0.0262 0.2712
2 Pr 0.2450 0.4738 0.7187
3 Pr 0.6924 0.5187 0.6738
4 Pr 0.7550 0.5262 0.2813
5 Pr 0.7550 0.9738 0.7288
6 Pr 0.8449 0.0187 0.3262
7 Tm 0.3038 0.7992 0.0046
8 Tm 0.7947 0.2992 0.9954
9 Sn 0.2206 0.0226 0.6980
10 Sn 0.3246 0.5226 0.3020

Most intense lines, 10 to 90 degrees two-theta, by angle:
| 2theta | d_spacing | Rel. int. |
| --- | --- | --- |
| 26.1 | 3.408 | 390 |
| 28.7 | 3.112 | 409 |
| 29.9 | 2.988 | 535 |
| 31.1 | 2.872 | 687 |
| 33.2 | 2.697 | 1000 |
| 36.4 | 2.470 | 651 |
| 39.7 | 2.272 | 491 |
| 46.2 | 1.966 | 659 |